For Cu4AgI7, the GGA-PBE geometry in Alexandria gives the simulated powder XRD pattern in this record (λ = 1.5418 Å (Cu Kα)).
Lines closer than 0.1° are merged.

Structure:
Lattice parameters (Å, degrees): 10.532 10.532 8.344 90.00 90.00 61.78
Positions (direct):
1 Cu 0.045 0.723 0.750
2 Cu 0.277 0.955 0.750
3 Cu 0.308 0.308 0.000
4 Cu 0.308 0.308 0.500
5 Cu 0.692 0.692 0.000
6 Cu 0.692 0.692 0.500
7 Cu 0.723 0.045 0.250
8 Cu 0.955 0.277 0.250
9 Ag 0.252 0.748 0.250
10 Ag 0.748 0.252 0.750
11 I 0.020 0.980 0.750
12 I 0.183 0.586 0.004
13 I 0.183 0.586 0.496
14 I 0.217 0.227 0.750
15 I 0.227 0.217 0.250
16 I 0.414 0.817 0.004
17 I 0.414 0.817 0.496
18 I 0.586 0.183 0.504
19 I 0.586 0.183 0.996
20 I 0.773 0.783 0.750
21 I 0.783 0.773 0.250
22 I 0.817 0.414 0.504
23 I 0.817 0.414 0.996
24 I 0.980 0.020 0.250

Main lines, low angle first (2θ = 10–80°):
2θ = 19.13°, I 66
2θ = 23.38°, I 81
2θ = 25.69°, I 99
2θ = 27.00°, I 42
2θ = 29.13°, I 91
2θ = 33.15°, I 35
2θ = 41.47°, I 100
2θ = 43.39°, I 55
2θ = 44.69°, I 40
2θ = 51.13°, I 50



For Tb6PrHo6, the GGA-PBE geometry in Alexandria gives the simulated powder XRD pattern in this record (λ = 1.5418 Å (Cu Kα)).
Lines closer than 0.1° are merged.

Structure:
Lattice parameters (Å, degrees): 6.631 6.631 11.438 90.00 90.00 120.00
Positions (direct):
1 Tb 0.000 0.000 0.150
2 Tb 0.000 0.000 0.850
3 Tb 0.333 0.667 0.000
4 Tb 0.333 0.667 0.500
5 Tb 0.667 0.333 0.000
6 Tb 0.667 0.333 0.500
7 Pr 0.000 0.000 0.500
8 Ho 0.000 0.500 0.255
9 Ho 0.000 0.500 0.745
10 Ho 0.500 0.000 0.255
11 Ho 0.500 0.000 0.745
12 Ho 0.500 0.500 0.255
13 Ho 0.500 0.500 0.745

Main lines, low angle first (2θ = 10–80°):
2θ = 26.89°, I 26
2θ = 28.09°, I 18
2θ = 31.17°, I 100
2θ = 31.28°, I 22
2θ = 34.99°, I 96
2θ = 50.26°, I 16
2θ = 55.42°, I 26
2θ = 55.61°, I 22
2θ = 65.01°, I 21
2θ = 67.26°, I 18



> Number 1 is which compound?

Cu4AgI7



Copy entry 2 word for word.
For Tb6PrHo6, the GGA-PBE geometry in Alexandria gives the simulated powder XRD pattern in this record (λ = 1.5418 Å (Cu Kα)).
Lines closer than 0.1° are merged.

Structure:
Lattice parameters (Å, degrees): 6.631 6.631 11.438 90.00 90.00 120.00
Positions (direct):
1 Tb 0.000 0.000 0.150
2 Tb 0.000 0.000 0.850
3 Tb 0.333 0.667 0.000
4 Tb 0.333 0.667 0.500
5 Tb 0.667 0.333 0.000
6 Tb 0.667 0.333 0.500
7 Pr 0.000 0.000 0.500
8 Ho 0.000 0.500 0.255
9 Ho 0.000 0.500 0.745
10 Ho 0.500 0.000 0.255
11 Ho 0.500 0.000 0.745
12 Ho 0.500 0.500 0.255
13 Ho 0.500 0.500 0.745

Main lines, low angle first (2θ = 10–80°):
2θ = 26.89°, I 26
2θ = 28.09°, I 18
2θ = 31.17°, I 100
2θ = 31.28°, I 22
2θ = 34.99°, I 96
2θ = 50.26°, I 16
2θ = 55.42°, I 26
2θ = 55.61°, I 22
2θ = 65.01°, I 21
2θ = 67.26°, I 18